Record 1
Li3MoP8O24: theoretical powder diffraction line list (copper Kα), based on a crystal structure in the Materials Project, relaxed with PBE+U.
Peak positions follow from Bragg's law for the DFT cell and can differ from measured ones.

Cell and atoms:
Unit cell a=12.027 b=8.331 c=10.113 alpha=90.00 beta=119.30 gamma=90.00
Space group C2 (No. 5)
One atom of each set of equivalent atoms:
Li 0.000 0.000 0.000
Li 0.220 0.815 0.213
Mo 0.000 0.100 0.500
P 0.004 0.783 0.727
P 0.013 0.306 0.225
P 0.199 0.559 0.944
P 0.200 0.535 0.456
O 0.029 0.929 0.650
O 0.035 0.265 0.658
O 0.042 0.166 0.161
O 0.043 0.813 0.166
O 0.083 0.427 0.895
O 0.096 0.675 0.417
O 0.132 0.684 0.797
O 0.139 0.415 0.314
O 0.187 0.110 0.556
O 0.196 0.981 0.068
O 0.219 0.635 0.086
O 0.227 0.458 0.599

Largest 10 diffraction maxima, by angle, 2θ = 15–90°:
(hkl)	2θ/deg	I/Imax
2 0 0	16.91	28
2 0 -2	18.92	51
1 1 1	19.23	21
1 1 -2	20.59	61
3 1 -2	25.85	37
2 2 0	27.34	54
3 1 0	27.67	54
0 2 2	29.50	100
4 0 0	34.21	21
4 2 -2	37.04	20


Record 2
Ca6Mn3Al2O15: theoretical powder diffraction line list (copper Kα), based on a crystal structure in the Materials Project, relaxed with PBE+U.
Peak positions follow from Bragg's law for the DFT cell and can differ from measured ones.

Cell and atoms:
Unit cell a=15.493 b=5.577 c=16.245 alpha=90.00 beta=110.11 gamma=90.00
Space group Cc (No. 9)
One atom of each set of equivalent atoms:
Ca 0.000 0.213 0.000
Ca 0.224 0.278 0.408
Ca 0.226 0.285 0.723
Ca 0.234 0.245 0.075
Ca 0.493 0.240 0.162
Ca 0.496 0.282 0.814
Mn 0.106 0.266 0.522
Mn 0.114 0.252 0.860
Mn 0.115 0.233 0.195
Al 0.361 0.173 0.954
Al 0.364 0.165 0.299
O 0.085 0.497 0.931
O 0.090 0.497 0.103
O 0.102 0.492 0.273
O 0.126 0.009 0.949
O 0.129 0.009 0.614
O 0.139 0.001 0.287
O 0.229 0.329 0.559
O 0.250 0.314 0.898
O 0.260 0.311 0.233
O 0.362 0.124 0.761
O 0.362 0.128 0.410
O 0.363 0.151 0.061
O 0.467 0.317 0.963
O 0.473 0.304 0.305
O 0.493 0.328 0.655

Largest 10 diffraction maxima, by angle, 2θ = 15–90°:
(hkl)	2θ/deg	I/Imax
3 1 -3	26.00	49
0 2 0	32.10	85
2 0 -6	33.09	96
3 1 3	33.68	100
5 1 -3	33.83	100
5 1 3	43.93	27
7 1 -3	44.11	26
2 2 -6	46.77	100
8 0 0	50.16	46
8 2 0	60.80	24


Record 3
KNa3WO5: theoretical powder diffraction line list (copper Kα), based on a crystal structure in the Materials Project, relaxed with PBE+U.
Peak positions follow from Bragg's law for the DFT cell and can differ from measured ones.

Cell and atoms:
Unit cell a=9.164 b=7.575 c=9.208 alpha=90.00 beta=104.14 gamma=90.00
Space group C2/m (No. 12)
One atom of each set of equivalent atoms:
K 0.000 0.249 0.000
Na 0.097 0.245 0.387
Na 0.190 0.500 0.774
W 0.191 0.000 0.758
O 0.021 0.000 0.242
O 0.099 0.500 0.251
O 0.164 0.219 0.655
O 0.246 0.000 0.966

Largest 10 diffraction maxima, by angle, 2θ = 15–90°:
(hkl)	2θ/deg	I/Imax
1 1 0	15.37	16
1 1 -1	16.93	81
1 1 1	19.61	59
0 0 2	19.91	49
0 2 2	31.00	100
1 1 -3	31.57	13
2 0 2	31.69	16
4 0 -1	39.33	25
0 2 4	47.27	21
0 4 0	48.05	14


Record 4
Li3Mn2P2C2O14: theoretical powder diffraction line list (copper Kα), based on a crystal structure in the Materials Project, relaxed with PBE+U.
Peak positions follow from Bragg's law for the DFT cell and can differ from measured ones.

Cell and atoms:
Unit cell a=6.478 b=8.291 c=10.118 alpha=94.39 beta=90.17 gamma=90.41
Space group P1 (No. 1)
One atom of each set of equivalent atoms:
Li 0.000 0.000 0.000
Li 0.003 0.994 0.514
Li 0.053 0.523 0.756
Li 0.479 0.539 0.263
Li 0.510 0.523 0.759
Li 0.774 0.167 0.266
Mn 0.286 0.935 0.281
Mn 0.291 0.935 0.782
Mn 0.785 0.593 0.481
Mn 0.785 0.596 0.987
P 0.278 0.684 0.521
P 0.283 0.686 0.018
P 0.781 0.844 0.244
P 0.787 0.844 0.745
C 0.277 0.218 0.741
C 0.282 0.218 0.237
C 0.784 0.314 0.032
C 0.786 0.306 0.528
O 0.092 0.573 0.486
O 0.097 0.578 0.972
O 0.260 0.096 0.145
O 0.262 0.848 0.459
O 0.267 0.852 0.958
O 0.268 0.098 0.647
O 0.279 0.365 0.718
O 0.285 0.165 0.357
O 0.286 0.166 0.859
O 0.289 0.718 0.677
O 0.299 0.721 0.171
O 0.302 0.361 0.212
O 0.470 0.587 0.471
O 0.472 0.590 0.964
O 0.596 0.942 0.786
O 0.598 0.959 0.275
O 0.761 0.437 0.122
O 0.762 0.683 0.309
O 0.773 0.348 0.407
O 0.778 0.435 0.617
O 0.787 0.674 0.805
O 0.788 0.363 0.912
O 0.806 0.173 0.064
O 0.807 0.804 0.092
O 0.808 0.807 0.593
O 0.809 0.166 0.561
O 0.965 0.952 0.296
O 0.974 0.947 0.799

Largest 10 diffraction maxima, by angle, 2θ = 15–90°:
(hkl)	2θ/deg	I/Imax
1 -1 0	17.33	24
1 1 0	17.46	24
0 1 -2	19.90	44
0 1 2	21.33	60
1 0 -2	22.34	23
1 1 2	25.50	18
0 2 -2	26.82	40
2 0 0	27.54	100
0 0 4	35.59	17
0 1 -4	36.44	22


Record 5
KCo2Mo2O10: theoretical powder diffraction line list (copper Kα), based on a crystal structure in the Materials Project, relaxed with PBE+U.
Peak positions follow from Bragg's law for the DFT cell and can differ from measured ones.

Cell and atoms:
Unit cell a=10.186 b=6.028 c=8.550 alpha=90.00 beta=116.83 gamma=90.00
Space group C2/m (No. 12)
One atom of each set of equivalent atoms:
K 0.000 0.000 0.000
Co 0.250 0.250 0.500
Mo 0.070 0.500 0.756
O 0.048 0.260 0.287
O 0.173 0.500 0.624
O 0.193 0.500 0.978
O 0.199 0.000 0.576

Largest 10 diffraction maxima, by angle, 2θ = 15–90°:
(hkl)	2θ/deg	I/Imax
1 1 0	17.65	100
1 1 -1	18.57	50
2 0 -2	22.68	93
1 1 -2	25.55	84
2 0 1	26.99	70
3 1 -1	30.25	71
0 2 1	31.92	35
1 1 2	32.83	35
2 2 -1	34.70	53
4 2 -3	50.15	58


Record 6
MgVFeP4O14: theoretical powder diffraction line list (copper Kα), based on a crystal structure in the Materials Project, relaxed with PBE+U.
Peak positions follow from Bragg's law for the DFT cell and can differ from measured ones.

Cell and atoms:
Unit cell a=5.056 b=7.145 c=8.193 alpha=90.25 beta=92.32 gamma=106.97
Space group P1 (No. 1)
One atom of each set of equivalent atoms:
Mg 0.000 0.000 0.000
V 0.935 0.652 0.633
Fe 0.543 0.225 0.170
P 0.097 0.435 0.953
P 0.326 0.433 0.455
P 0.502 0.811 0.871
P 0.977 0.037 0.385
O 0.093 0.531 0.468
O 0.129 0.008 0.231
O 0.188 0.203 0.500
O 0.227 0.265 0.952
O 0.311 0.822 0.726
O 0.352 0.632 0.984
O 0.432 0.442 0.286
O 0.550 0.507 0.592
O 0.580 0.992 0.986
O 0.716 0.090 0.344
O 0.792 0.791 0.830
O 0.892 0.424 0.082
O 0.922 0.857 0.497
O 0.975 0.460 0.780

Largest 10 diffraction maxima, by angle, 2θ = 15–90°:
(hkl)	2θ/deg	I/Imax
0 1 -1	16.76	100
0 1 1	17.04	56
-1 1 1	21.74	38
1 -1 1	22.33	19
1 1 0	25.52	15
1 1 1	28.17	32
-1 1 2	28.66	49
-1 2 1	29.21	34
1 -1 2	29.54	41
0 2 3	42.80	14